CeNd2HoTm: calculated powder X-ray diffraction pattern (Cu Kα (λ = 1.5418 Å)), based on a structure optimized by DFT (PBE).

abc: 6.713 8.150 6.092
angles: 90.00 90.07 90.00
Positions (direct):
1 Ce 0.000 0.000 0.000
2 Ce 0.000 0.000 0.500
3 Nd 0.265 0.310 0.251
4 Nd 0.265 0.690 0.751
5 Nd 0.735 0.310 0.249
6 Nd 0.735 0.690 0.749
7 Ho 0.000 0.354 0.750
8 Ho 0.000 0.646 0.250
9 Tm 0.500 0.123 0.750
10 Tm 0.500 0.877 0.250

Peak list (12 most intense, 10° ≤ 2θ ≤ 80°, low angle first)
26.31°, I 14
28.76°, I 18
29.32°, I 29
29.54°, I 58
32.37°, I 100
32.97°, I 18
34.14°, I 40
34.62°, I 15
35.65°, I 21
36.84°, I 20
51.93°, I 15
53.96°, I 24

TiCl3: calculated powder X-ray diffraction pattern (Cu Kα (λ = 1.5418 Å)), based on a structure optimized by DFT (PBE).

abc: 3.108 7.846 9.979
angles: 90.00 90.00 90.00
Positions (direct):
1 Ti 0.250 0.250 0.213
2 Ti 0.750 0.750 0.787
3 Cl 0.250 0.547 0.693
4 Cl 0.250 0.750 0.974
5 Cl 0.250 0.953 0.693
6 Cl 0.750 0.047 0.307
7 Cl 0.750 0.250 0.026
8 Cl 0.750 0.453 0.307

Peak list (12 most intense, 10° ≤ 2θ ≤ 80°, low angle first)
14.36°, I 100
17.78°, I 23
24.38°, I 25
26.80°, I 9
35.93°, I 17
38.02°, I 27
41.39°, I 15
46.23°, I 18
46.69°, I 13
49.05°, I 18
51.36°, I 9
73.34°, I 7

Np6TeSe12: calculated powder X-ray diffraction pattern (Cu Kα (λ = 1.5418 Å)), based on a structure optimized by DFT (PBE).

abc: 8.332 8.332 8.332
angles: 103.92 103.92 103.92
Positions (direct):
1 Np 0.245 0.245 0.666
2 Np 0.245 0.666 0.245
3 Np 0.334 0.755 0.755
4 Np 0.666 0.245 0.245
5 Np 0.755 0.334 0.755
6 Np 0.755 0.755 0.334
7 Te 0.000 0.000 0.000
8 Se 0.130 0.500 0.870
9 Se 0.130 0.870 0.500
10 Se 0.188 0.450 0.450
11 Se 0.450 0.188 0.450
12 Se 0.450 0.450 0.188
13 Se 0.500 0.130 0.870
14 Se 0.500 0.870 0.130
15 Se 0.550 0.550 0.812
16 Se 0.550 0.812 0.550
17 Se 0.812 0.550 0.550
18 Se 0.870 0.130 0.500
19 Se 0.870 0.500 0.130

Peak list (12 most intense, 10° ≤ 2θ ≤ 80°, low angle first)
13.49°, I 33
22.39°, I 100
23.19°, I 51
26.93°, I 45
27.18°, I 37
35.10°, I 55
35.48°, I 86
36.02°, I 40
38.08°, I 34
40.62°, I 44
43.45°, I 60
49.55°, I 36